The following is a theoretical powder XRD pattern of HoCuPb. It was derived from a DFT-relaxed cell (PBE, Alexandria), using Cu Kα, 1.54184 Å.
Peak positions follow from Bragg's law for the DFT cell and can differ from measured ones.

Main lines, sorted by position (2θ from 10° to 80°):
2θ 25.4, I 29
2θ 33.2, I 100
2θ 38.9, I 69
2θ 43.5, I 8
2θ 46.5, I 5
2θ 47.0, I 6
2θ 49.9, I 11
2θ 52.1, I 28
2θ 62.6, I 6
2θ 65.1, I 31
2θ 66.9, I 27
2θ 70.5, I 12

Atomic structure:
Cell: 4.6271 4.6271 7.3044 Å, 90.00 90.00 120.00°
Sites, in units of the cell vectors:
1 Ho 0.0000 0.0000 0.0000
2 Ho 0.0000 0.0000 0.5000
3 Cu 0.3333 0.6667 0.2500
4 Cu 0.6667 0.3333 0.7500
5 Pb 0.3333 0.6667 0.7500
6 Pb 0.6667 0.3333 0.2500

=====

The following is a theoretical powder XRD pattern of Ho3Zn3Rh2. It was derived from a DFT-relaxed cell (PBE, Alexandria), using Cu Kα, 1.54184 Å.
Peak positions follow from Bragg's law for the DFT cell and can differ from measured ones.

Main lines, sorted by position (2θ from 10° to 80°):
2θ 30.1, I 60
2θ 33.1, I 100
2θ 34.4, I 22
2θ 35.6, I 69
2θ 37.0, I 100
2θ 39.0, I 64
2θ 40.6, I 54
2θ 41.8, I 45
2θ 44.7, I 30
2θ 53.0, I 21
2θ 53.4, I 42
2θ 77.9, I 23

Atomic structure:
Cell: 7.2936 16.2277 5.4464 Å, 90.00 90.00 90.00°
Sites, in units of the cell vectors:
1 Ho 0.0375 0.1071 0.1153
2 Ho 0.0375 0.3929 0.1153
3 Ho 0.1662 0.2500 0.6467
4 Ho 0.3338 0.7500 0.1467
5 Ho 0.4625 0.6071 0.6153
6 Ho 0.4625 0.8929 0.6153
7 Ho 0.5375 0.1071 0.3847
8 Ho 0.5375 0.3929 0.3847
9 Ho 0.6662 0.2500 0.8533
10 Ho 0.8338 0.7500 0.3533
11 Ho 0.9625 0.6071 0.8847
12 Ho 0.9625 0.8929 0.8847
13 Zn 0.1738 0.0283 0.5956
14 Zn 0.1738 0.4717 0.5956
15 Zn 0.1746 0.7500 0.6425
16 Zn 0.3254 0.2500 0.1425
17 Zn 0.3262 0.5283 0.0956
18 Zn 0.3262 0.9717 0.0956
19 Zn 0.6738 0.0283 0.9044
20 Zn 0.6738 0.4717 0.9044
21 Zn 0.6746 0.7500 0.8575
22 Zn 0.8254 0.2500 0.3575
23 Zn 0.8262 0.5283 0.4044
24 Zn 0.8262 0.9717 0.4044
25 Rh 0.1199 0.6174 0.3712
26 Rh 0.1199 0.8826 0.3712
27 Rh 0.3801 0.1174 0.8712
28 Rh 0.3801 0.3826 0.8712
29 Rh 0.6199 0.6174 0.1288
30 Rh 0.6199 0.8826 0.1288
31 Rh 0.8801 0.1174 0.6288
32 Rh 0.8801 0.3826 0.6288

=====

The following is a theoretical powder XRD pattern of YAl3NiPt. It was derived from a DFT-relaxed cell (PBE, Alexandria), using Cu Kα, 1.54184 Å.
Peak positions follow from Bragg's law for the DFT cell and can differ from measured ones.

Main lines, sorted by position (2θ from 10° to 80°):
2θ 16.1, I 18
2θ 21.4, I 76
2θ 26.5, I 65
2θ 28.8, I 66
2θ 30.8, I 25
2θ 31.2, I 51
2θ 36.2, I 41
2θ 41.4, I 51
2θ 43.0, I 73
2θ 43.4, I 100
2θ 61.4, I 35
2θ 64.1, I 47

Atomic structure:
Cell: 6.7551 6.7551 5.7259 Å, 90.00 90.00 125.42°
Sites, in units of the cell vectors:
1 Y 0.2286 0.7714 0.7500
2 Y 0.7714 0.2286 0.2500
3 Al 0.2107 0.2107 0.0000
4 Al 0.2107 0.2107 0.5000
5 Al 0.3553 0.6447 0.2500
6 Al 0.6447 0.3553 0.7500
7 Al 0.7893 0.7893 0.0000
8 Al 0.7893 0.7893 0.5000
9 Ni 0.4454 0.5546 0.7500
10 Ni 0.5546 0.4454 0.2500
11 Pt 0.1464 0.8536 0.2500
12 Pt 0.8536 0.1464 0.7500

=====

The following is a theoretical powder XRD pattern of Ce2Mg3Ge4. It was derived from a DFT-relaxed cell (PBE, Alexandria), using Cu Kα, 1.54184 Å.
Peak positions follow from Bragg's law for the DFT cell and can differ from measured ones.

Main lines, sorted by position (2θ from 10° to 80°):
2θ 19.1, I 30
2θ 31.6, I 58
2θ 33.6, I 62
2θ 34.1, I 100
2θ 35.1, I 78
2θ 36.1, I 29
2θ 37.0, I 67
2θ 37.5, I 37
2θ 46.4, I 24
2θ 48.8, I 30
2θ 55.2, I 25
2θ 66.4, I 26

Atomic structure:
Cell: 8.3985 8.3985 8.1176 Å, 90.00 90.00 137.66°
Sites, in units of the cell vectors:
1 Ce 0.1141 0.8859 0.9144
2 Ce 0.3859 0.6141 0.4144
3 Ce 0.6141 0.3859 0.5856
4 Ce 0.8859 0.1141 0.0856
5 Mg 0.0000 0.0000 0.5000
6 Mg 0.0388 0.4612 0.7500
7 Mg 0.4612 0.0388 0.2500
8 Mg 0.5000 0.5000 0.0000
9 Mg 0.5388 0.9612 0.7500
10 Mg 0.9612 0.5388 0.2500
11 Ge 0.1839 0.8161 0.5585
12 Ge 0.2078 0.2922 0.7500
13 Ge 0.2922 0.2078 0.2500
14 Ge 0.3161 0.6839 0.0585
15 Ge 0.6839 0.3161 0.9415
16 Ge 0.7078 0.7922 0.7500
17 Ge 0.7922 0.7078 0.2500
18 Ge 0.8161 0.1839 0.4415

=====

The following is a theoretical powder XRD pattern of Mg3AlSn2. It was derived from a DFT-relaxed cell (PBE, Alexandria), using Cu Kα, 1.54184 Å.
Peak positions follow from Bragg's law for the DFT cell and can differ from measured ones.

Main lines, sorted by position (2θ from 10° to 80°):
2θ 20.4, I 29
2θ 21.1, I 16
2θ 27.9, I 27
2θ 29.5, I 15
2θ 34.8, I 100
2θ 38.7, I 17
2θ 40.9, I 16
2θ 41.5, I 16
2θ 57.6, I 11
2θ 67.5, I 14
2θ 70.5, I 13
2θ 71.4, I 13

Atomic structure:
Cell: 4.4134 13.9634 4.3488 Å, 90.00 90.00 90.00°
Sites, in units of the cell vectors:
1 Mg 0.0000 0.0000 0.0000
2 Mg 0.0000 0.3364 0.0000
3 Mg 0.0000 0.6636 0.0000
4 Mg 0.5000 0.1636 0.0000
5 Mg 0.5000 0.5000 0.0000
6 Mg 0.5000 0.8364 0.0000
7 Al 0.0000 0.5000 0.5000
8 Al 0.5000 0.0000 0.5000
9 Sn 0.0000 0.1568 0.5000
10 Sn 0.0000 0.8432 0.5000
11 Sn 0.5000 0.3432 0.5000
12 Sn 0.5000 0.6568 0.5000

=====

The following is a theoretical powder XRD pattern of La2CeThS4. It was derived from a DFT-relaxed cell (PBE, Alexandria), using Cu Kα, 1.54184 Å.
Peak positions follow from Bragg's law for the DFT cell and can differ from measured ones.

Main lines, sorted by position (2θ from 10° to 80°):
2θ 26.7, I 61
2θ 26.7, I 20
2θ 30.9, I 100
2θ 44.2, I 49
2θ 44.3, I 24
2θ 52.4, I 17
2θ 52.5, I 20
2θ 54.9, I 13
2θ 64.4, I 12
2θ 70.8, I 7
2θ 73.0, I 16
2θ 73.2, I 11

Atomic structure:
Cell: 7.0729 4.0937 7.1050 Å, 90.00 109.44 90.00°
Sites, in units of the cell vectors:
1 La 0.0000 0.0000 0.0000
2 La 0.5000 0.5000 0.0000
3 Ce 0.0000 0.5000 0.5000
4 Th 0.5000 0.0000 0.5000
5 S 0.2467 0.0000 0.7419
6 S 0.2517 0.5000 0.2573
7 S 0.7483 0.5000 0.7427
8 S 0.7533 0.0000 0.2581